[1]
This entry pairs a crystal structure of TiMo2HPt with its computed X-ray diffraction stick pattern. Radiation: Cu Kα (λ = 1.5418 Å). Structure: a PBE-relaxed structure.

Atomic structure:
abc: 3.905 3.905 4.262
angles: 90.00 90.00 90.00
Space group P4/mmm (No. 123)
Unique sites:
Ti: 0.000 0.000 0.000 [1 per cell]
Mo: 0.000 0.500 0.500 [2 per cell]
H: 0.000 0.000 0.500 [1 per cell]
Pt: 0.500 0.500 0.000 [1 per cell]

Largest 6 diffraction maxima, in order of rising 2θ, 10 to 90 degrees two-theta:
h k l  2theta  I/Imax
1 0 0  22.77  21
1 0 1  31.06  20
1 1 1  38.86  100
2 0 0  46.52  30
2 0 2  64.76  22
3 1 1  81.09  23

=====

[2]
This entry pairs a crystal structure of Li4BiSb3Pb2 with its computed X-ray diffraction stick pattern. Radiation: Cu Kα (λ = 1.5418 Å). Structure: a PBE-relaxed structure.

Atomic structure:
abc: 4.499 4.499 12.615
angles: 90.00 90.00 90.00
Space group P-4m2 (No. 115)
Unique sites:
Li: 0.000 0.000 0.000 [1 per cell]
Li: 0.000 0.500 0.352 [2 per cell]
Li: 0.500 0.500 0.000 [1 per cell]
Bi: 0.500 0.500 0.500 [1 per cell]
Sb: 0.000 0.000 0.500 [1 per cell]
Sb: 0.000 0.500 0.140 [2 per cell]
Pb: 0.000 0.500 0.776 [2 per cell]

Largest 6 diffraction maxima, in order of rising 2θ, 10 to 90 degrees two-theta:
h k l  2theta  I/Imax
0 0 3  21.13  57
1 1 1  28.95  59
1 0 3  29.07  49
1 1 2  31.50  100
2 0 0  40.08  44
2 0 3  45.73  37

=====

[3]
This entry pairs a crystal structure of Cs2HSe2O6 with its computed X-ray diffraction stick pattern. Radiation: Cu Kα (λ = 1.5418 Å). Structure: a PBE-relaxed structure.

Atomic structure:
abc: 13.651 5.289 7.138
angles: 90.00 116.66 90.00
Space group C2/m (No. 12)
Unique sites:
Cs: 0.208 0.000 0.207 [4 per cell]
H: 0.000 0.000 0.500 [2 per cell]
Se: 0.002 0.500 0.770 [4 per cell]
O: 0.049 0.234 0.700 [8 per cell]
O: 0.137 0.500 0.349 [4 per cell]

Largest 6 diffraction maxima, in order of rising 2θ, 10 to 90 degrees two-theta:
h k l  2theta  I/Imax
1 1 -1  20.93  83
1 1 1  24.96  49
3 1 -1  26.15  100
3 1 0  27.67  77
0 0 2  27.97  78
1 1 -2  30.67  41

=====

[4]
This entry pairs a crystal structure of PuFe2GeC with its computed X-ray diffraction stick pattern. Radiation: Cu Kα (λ = 1.5418 Å). Structure: a PBE-relaxed structure.

Atomic structure:
abc: 3.809 10.652 6.843
angles: 90.00 90.00 90.00
Space group Cmcm (No. 63)
Unique sites:
Pu: 0.000 0.051 0.250 [4 per cell]
Fe: 0.000 0.337 0.060 [8 per cell]
Ge: 0.000 0.228 0.750 [4 per cell]
C: 0.000 0.500 0.000 [4 per cell]

Largest 6 diffraction maxima, in order of rising 2θ, 10 to 90 degrees two-theta:
h k l  2theta  I/Imax
1 1 0  24.82  25
0 0 2  26.04  20
1 3 0  34.53  20
0 4 1  36.25  100
1 3 1  37.02  52
1 3 3  53.46  17

=====

[5]
This entry pairs a crystal structure of ZrPa3Rh6 with its computed X-ray diffraction stick pattern. Radiation: Cu Kα (λ = 1.5418 Å). Structure: a PBE-relaxed structure.

Atomic structure:
abc: 8.720 4.521 9.811
angles: 90.00 105.17 90.00
Space group P2_1/m (No. 11)
Unique sites:
Zr: 0.047 0.250 0.391 [2 per cell]
Pa: 0.208 0.250 0.051 [2 per cell]
Pa: 0.363 0.750 0.780 [2 per cell]
Pa: 0.488 0.250 0.639 [2 per cell]
Rh: 0.103 0.750 0.889 [2 per cell]
Rh: 0.134 0.750 0.193 [2 per cell]
Rh: 0.147 0.250 0.695 [2 per cell]
Rh: 0.219 0.750 0.500 [2 per cell]
Rh: 0.340 0.250 0.356 [2 per cell]
Rh: 0.436 0.750 0.069 [2 per cell]

Largest 6 diffraction maxima, in order of rising 2θ, 10 to 90 degrees two-theta:
h k l  2theta  I/Imax
2 1 -1  28.71  17
3 1 -1  36.78  86
1 1 3  38.51  100
0 2 0  39.89  56
2 1 -4  43.53  17
4 0 2  51.97  18

=====

[6]
This entry pairs a crystal structure of LaPm3Cd4 with its computed X-ray diffraction stick pattern. Radiation: Cu Kα (λ = 1.5418 Å). Structure: a PBE-relaxed structure.

Atomic structure:
abc: 10.868 7.775 5.434
angles: 90.00 90.00 90.00
Space group Pmma (No. 51)
Unique sites:
La: 0.000 0.000 0.000 [2 per cell]
Pm: 0.000 0.500 0.000 [2 per cell]
Pm: 0.250 0.000 0.497 [2 per cell]
Pm: 0.250 0.500 0.497 [2 per cell]
Cd: 0.000 0.256 0.500 [4 per cell]
Cd: 0.250 0.256 0.996 [4 per cell]

Largest 6 diffraction maxima, in order of rising 2θ, 10 to 90 degrees two-theta:
h k l  2theta  I/Imax
2 2 1  32.77  100
4 0 0  32.97  49
4 0 2  47.32  18
4 4 0  58.37  18
6 2 1  58.75  36
4 4 2  68.69  11